Starting from DFT lattice parameters and positions (PBE+U), the XRD peak list of Cs4Nd3MnO8 was computed for copper Kα.
Kinematic intensities with the Lorentz-polarization factor, no thermal factor.

Most intense lines, 2θ from 10° to 90°, low angle first:
| hkl | two_theta | I_rel |
| --- | --- | --- |
| 0 0 2 | 25.6 | 77.2 |
| 4 0 -2 | 29.4 | 48.8 |
| 2 2 0 | 29.8 | 92.7 |
| 4 0 0 | 31.7 | 62.1 |
| 2 2 -2 | 34.0 | 100.0 |
| 2 2 2 | 44.7 | 41.0 |
| 4 0 -4 | 45.9 | 17.9 |
| 6 2 -2 | 49.5 | 34.5 |
| 2 2 -4 | 53.6 | 23.9 |
| 6 2 0 | 55.3 | 18.6 |

Cell and atoms:
```
data_Cs4Nd3MnO8
_cell_length_a 12.951
_cell_length_b 7.085
_cell_length_c 7.983
_cell_angle_alpha 90.00
_cell_angle_beta 119.37
_cell_angle_gamma 90.00
_space_group_name_H-M_alt 'C 1 2/m 1'
_space_group_IT_number 12
loop_
_space_group_symop_operation_xyz
'x,y,z'
'-x,-y,-z'
'-x,y,-z'
'x,-y,z'
'x+1/2,y+1/2,z'
'-x+1/2,-y+1/2,-z'
'-x+1/2,y+1/2,-z'
'x+1/2,-y+1/2,z'
loop_
_atom_site_label
_atom_site_type_symbol
_atom_site_fract_x
_atom_site_fract_y
_atom_site_fract_z
Cs1 Cs 0.000 0.000 0.000
Cs2 Cs 0.000 0.500 0.000
Cs3 Cs 0.250 0.250 0.000
Nd1 Nd 0.000 0.000 0.500
Nd2 Nd 0.250 0.250 0.500
Mn1 Mn 0.000 0.500 0.500
O1 O 0.029 0.288 0.354
O2 O 0.213 0.000 0.670
O3 O 0.238 0.000 0.296
```